No. 1
This entry pairs a crystal structure of CdFe2O4 with its theoretical PXRD pattern. Radiation: CuKα. Structure: a crystal structure in the Materials Project, relaxed with GGA+U.
Kinematic intensities with the Lorentz-polarization factor, no thermal factor.

Principal peaks in the range 2θ from 10° to 90°, by angle:
| 2θ (°) | d_spacing | I_rel |
| --- | --- | --- |
| 18.9 | 4.700 | 20 |
| 30.6 | 2.922 | 19 |
| 32.1 | 2.790 | 14 |
| 33.0 | 2.712 | 100 |
| 35.2 | 2.549 | 32 |
| 39.9 | 2.258 | 41 |
| 42.3 | 2.135 | 16 |
| 48.8 | 1.866 | 17 |
| 49.0 | 1.857 | 19 |
| 49.9 | 1.829 | 17 |

Crystal structure
```
CdFe2O4
1.0
9.3779 0.0000 0.0000
0.0000 3.0340 0.0000
0.0000 0.0000 10.8674
Cd Fe O
4 8 16
Direct
0.2428 0.2500 0.1564
0.2572 0.7500 0.6564
0.7428 0.2500 0.3436
0.7572 0.7500 0.8436
0.0627 0.2500 0.3864
0.0842 0.2500 0.8964
0.4158 0.7500 0.3964
0.4373 0.7500 0.8864
0.5627 0.2500 0.1136
0.5842 0.2500 0.6036
0.9158 0.7500 0.1036
0.9373 0.7500 0.6136
0.0313 0.7500 0.7843
0.0821 0.2500 0.5710
0.1167 0.7500 0.0257
0.2027 0.7500 0.3386
0.2973 0.2500 0.8386
0.3833 0.2500 0.5257
0.4179 0.7500 0.0710
0.4687 0.2500 0.2843
0.5313 0.7500 0.7157
0.5821 0.2500 0.9290
0.6167 0.7500 0.4743
0.7027 0.7500 0.1614
0.7973 0.2500 0.6614
0.8833 0.2500 0.9743
0.9179 0.7500 0.4290
0.9687 0.2500 0.2157
```

No. 2
This entry pairs a crystal structure of LiV3OF11 with its theoretical PXRD pattern. Radiation: CuKα. Structure: a crystal structure in the Materials Project, relaxed with GGA+U.
Kinematic intensities with the Lorentz-polarization factor, no thermal factor.

Principal peaks in the range 2θ from 10° to 90°, by angle:
| 2θ (°) | d_spacing | I_rel |
| --- | --- | --- |
| 17.3 | 5.118 | 88 |
| 24.9 | 3.579 | 35 |
| 25.1 | 3.555 | 100 |
| 32.8 | 2.732 | 12 |
| 35.1 | 2.559 | 11 |
| 38.9 | 2.314 | 15 |
| 47.8 | 1.904 | 11 |
| 48.0 | 1.894 | 10 |
| 51.4 | 1.779 | 8 |
| 53.8 | 1.705 | 13 |

Crystal structure
```
LiV3OF11
1.0
5.2826 0.0000 0.0000
-0.0293 5.4650 0.0000
-0.0478 -2.6088 15.3536
Li V O F
2 6 2 22
Direct
0.0000 0.0000 0.0000
0.3617 0.4921 0.7197
0.0472 0.6902 0.5575
0.0507 0.0256 0.2311
0.0648 0.4010 0.9003
0.5435 0.8661 0.8863
0.5507 0.1846 0.5539
0.5512 0.5246 0.2276
0.2364 0.6640 0.9226
0.4678 0.8059 0.7817
0.1319 0.9856 0.1170
0.1422 0.6471 0.4473
0.1459 0.3191 0.7833
0.2469 0.9958 0.5804
0.2509 0.3301 0.2515
0.3317 0.1661 0.9255
0.3450 0.4982 0.5849
0.3485 0.8321 0.2507
0.4608 0.1532 0.4421
0.4642 0.4836 0.1169
0.6158 0.2492 0.6721
0.6321 0.5661 0.3393
0.6698 0.8832 0.0038
0.7496 0.8749 0.5373
0.7544 0.2187 0.2063
0.7558 0.5397 0.8699
0.8501 0.7194 0.2056
0.8537 0.3794 0.5345
0.8596 0.0574 0.8744
0.9574 0.3696 0.0107
0.9660 0.0612 0.3414
0.9805 0.7165 0.6709
```

No. 3
This entry pairs a crystal structure of Rb2NaMnO4 with its theoretical PXRD pattern. Radiation: CuKα. Structure: a crystal structure in the Materials Project, relaxed with GGA+U.
Kinematic intensities with the Lorentz-polarization factor, no thermal factor.

Principal peaks in the range 2θ from 10° to 90°, by angle:
| 2θ (°) | d_spacing | I_rel |
| --- | --- | --- |
| 23.9 | 3.726 | 34 |
| 27.4 | 3.255 | 32 |
| 29.3 | 3.043 | 70 |
| 30.1 | 2.972 | 100 |
| 31.0 | 2.881 | 24 |
| 31.2 | 2.870 | 18 |
| 33.0 | 2.715 | 66 |
| 33.8 | 2.654 | 31 |
| 40.6 | 2.223 | 43 |
| 60.9 | 1.522 | 20 |

Crystal structure
```
Rb2NaMnO4
1.0
6.0712 0.0000 0.0000
0.0000 6.0863 0.0000
-0.3939 0.0000 7.9619
Rb Na Mn O
4 2 2 8
Direct
0.1176 0.2500 0.1726
0.3050 0.7500 0.5161
0.6950 0.2500 0.4839
0.8824 0.7500 0.8274
0.3838 0.7500 0.0342
0.6162 0.2500 0.9658
0.1949 0.2500 0.7446
0.8051 0.7500 0.2554
0.0730 0.7500 0.1923
0.2040 0.2500 0.5302
0.3306 0.0227 0.8292
0.3306 0.4773 0.8292
0.6694 0.5227 0.1708
0.6694 0.9773 0.1708
0.7960 0.7500 0.4698
0.9270 0.2500 0.8077
```

No. 4
This entry pairs a crystal structure of Li3Fe2Si2O8 with its theoretical PXRD pattern. Radiation: CuKα. Structure: a crystal structure in the Materials Project, relaxed with GGA+U.
Kinematic intensities with the Lorentz-polarization factor, no thermal factor.

Principal peaks in the range 2θ from 10° to 90°, by angle:
| 2θ (°) | d_spacing | I_rel |
| --- | --- | --- |
| 21.6 | 4.112 | 100 |
| 21.9 | 4.065 | 89 |
| 24.2 | 3.675 | 21 |
| 27.4 | 3.251 | 16 |
| 27.9 | 3.193 | 16 |
| 32.3 | 2.768 | 30 |
| 32.7 | 2.739 | 41 |
| 33.9 | 2.642 | 80 |
| 59.5 | 1.554 | 21 |
| 60.2 | 1.538 | 22 |

Crystal structure
```
Li3Fe2Si2O8
1.0
7.4336 -3.6748 0.0000
7.4336 3.6748 0.0000
-3.7773 0.0000 6.6006
Li Fe Si O
6 4 4 16
Direct
0.0000 0.0000 0.0000
0.0613 0.6822 0.5652
0.3178 0.9387 0.4348
0.5208 0.4792 0.5000
0.5666 0.1905 0.0692
0.8095 0.4334 0.9308
0.0625 0.6823 0.1875
0.3177 0.9375 0.8125
0.5502 0.1843 0.6897
0.8157 0.4498 0.3103
0.2592 0.2311 0.2388
0.3726 0.6274 0.0000
0.7689 0.7408 0.7612
0.8760 0.1240 0.5000
0.0273 0.2520 0.1283
0.1144 0.0878 0.6106
0.2236 0.7691 0.1694
0.2309 0.7764 0.8306
0.2410 0.4670 0.3363
0.3794 0.1170 0.4215
0.3879 0.1046 0.0605
0.3899 0.4011 0.9037
0.5330 0.7590 0.6637
0.5989 0.6101 0.0963
0.7336 0.2566 0.6658
0.7434 0.2664 0.3342
0.7480 0.9727 0.8717
0.8830 0.6206 0.5785
0.8954 0.6121 0.9395
0.9122 0.8856 0.3894
```

No. 5
This entry pairs a crystal structure of Sr4Ca4Mn5Fe3O24 with its theoretical PXRD pattern. Radiation: CuKα. Structure: a crystal structure in the Materials Project, relaxed with GGA+U.
Kinematic intensities with the Lorentz-polarization factor, no thermal factor.

Principal peaks in the range 2θ from 10° to 90°, by angle:
| 2θ (°) | d_spacing | I_rel |
| --- | --- | --- |
| 32.8 | 2.732 | 100 |
| 40.4 | 2.231 | 10 |
| 46.9 | 1.939 | 15 |
| 47.1 | 1.929 | 29 |
| 58.4 | 1.580 | 12 |
| 58.6 | 1.576 | 24 |
| 68.6 | 1.367 | 16 |
| 68.8 | 1.364 | 8 |
| 78.4 | 1.220 | 10 |
| 87.4 | 1.115 | 8 |

Crystal structure
```
Sr4Ca4Mn5Fe3O24
1.0
7.7142 0.0000 0.0000
0.0020 7.7145 0.0000
0.0000 0.0001 7.7557
Sr Ca Mn Fe O
4 4 5 3 24
Direct
0.0000 0.0000 0.0000
0.0001 0.0000 0.4987
0.4992 0.0000 0.0002
0.4991 0.4992 0.4986
0.0003 0.4991 0.0007
0.0002 0.4991 0.4981
0.4989 0.0002 0.4981
0.4989 0.4991 0.0004
0.2496 0.2508 0.2494
0.2496 0.2509 0.7493
0.2496 0.7482 0.2494
0.7495 0.2510 0.2494
0.7495 0.7485 0.2494
0.2496 0.7483 0.7493
0.7495 0.2509 0.7493
0.7495 0.7483 0.7493
0.9999 0.2556 0.2494
0.0023 0.2548 0.7493
0.2470 0.4994 0.2468
0.2477 0.4968 0.7512
0.2496 0.2505 0.4986
0.2496 0.2557 0.0001
0.2496 0.7444 0.0036
0.2495 0.7484 0.4950
0.2522 0.9999 0.2520
0.2516 0.0023 0.7473
0.4968 0.2509 0.7494
0.4993 0.2504 0.2493
0.5000 0.7489 0.2493
0.5012 0.7483 0.7494
0.7469 0.9992 0.2518
0.7477 0.9980 0.7474
0.7497 0.2508 0.4950
0.7495 0.2548 0.0037
0.7495 0.7442 0.0019
0.7497 0.7483 0.4969
0.7513 0.5012 0.7511
0.7521 0.5001 0.2470
0.9980 0.7447 0.7493
0.9992 0.7437 0.2494
```

No. 6
This entry pairs a crystal structure of Li3FeP2O8 with its theoretical PXRD pattern. Radiation: CuKα. Structure: a crystal structure in the Materials Project, relaxed with GGA+U.
Kinematic intensities with the Lorentz-polarization factor, no thermal factor.

Principal peaks in the range 2θ from 10° to 90°, by angle:
| 2θ (°) | d_spacing | I_rel |
| --- | --- | --- |
| 11.1 | 7.936 | 28 |
| 14.1 | 6.302 | 33 |
| 16.0 | 5.543 | 34 |
| 21.9 | 4.067 | 100 |
| 22.1 | 4.016 | 87 |
| 22.4 | 3.968 | 28 |
| 24.0 | 3.706 | 47 |
| 32.3 | 2.771 | 55 |
| 34.6 | 2.592 | 41 |
| 35.7 | 2.515 | 53 |

Crystal structure
```
Li3FeP2O8
1.0
8.2179 0.0000 0.0000
0.0000 10.3672 0.0000
-2.1575 0.0000 8.0289
Li Fe P O
12 4 8 32
Direct
0.0000 0.0859 0.0000
0.0000 0.9141 0.5000
0.0454 0.4053 0.5720
0.0454 0.5947 0.0720
0.2336 0.1030 0.7562
0.2336 0.8970 0.2562
0.7597 0.0916 0.2585
0.7597 0.9084 0.7585
0.7943 0.4133 0.8121
0.7943 0.5867 0.3121
0.8600 0.3309 0.1319
0.8600 0.6691 0.6319
0.3149 0.4147 0.3232
0.3149 0.5853 0.8232
0.5045 0.0945 0.5090
0.5045 0.9055 0.0090
0.1220 0.1595 0.3849
0.1220 0.8405 0.8849
0.1699 0.3414 0.9574
0.1699 0.6586 0.4574
0.6362 0.1547 0.8776
0.6362 0.8453 0.3776
0.6976 0.3409 0.4440
0.6976 0.6591 0.9440
0.0168 0.4065 0.0007
0.0168 0.5935 0.5007
0.0795 0.0981 0.5350
0.0795 0.9019 0.0350
0.1461 0.2004 0.9100
0.1461 0.7996 0.4100
0.1717 0.3066 0.4216
0.1717 0.6934 0.9216
0.2105 0.4196 0.8077
0.2105 0.5804 0.3077
0.2835 0.0885 0.3546
0.2835 0.9115 0.8546
0.3261 0.3597 0.1117
0.3261 0.6403 0.6117
0.4740 0.1448 0.7217
0.4740 0.8552 0.2217
0.5309 0.4050 0.4649
0.5309 0.5950 0.9649
0.5843 0.0789 0.0240
0.5843 0.9211 0.5240
0.6489 0.1920 0.4086
0.6489 0.8080 0.9086
0.6784 0.2927 0.9308
0.6784 0.7073 0.4308
0.7550 0.3957 0.2979
0.7550 0.6043 0.7979
0.7790 0.0809 0.8324
0.7790 0.9191 0.3324
0.8319 0.3562 0.6077
0.8319 0.6438 0.1077
0.9771 0.1525 0.2245
0.9771 0.8475 0.7245
```

No. 7
This entry pairs a crystal structure of Mg3AlFeSi3O12 with its theoretical PXRD pattern. Radiation: CuKα. Structure: a crystal structure in the Materials Project, relaxed with GGA+U.
Kinematic intensities with the Lorentz-polarization factor, no thermal factor.

Principal peaks in the range 2θ from 10° to 90°, by angle:
| 2θ (°) | d_spacing | I_rel |
| --- | --- | --- |
| 28.5 | 3.130 | 19 |
| 35.7 | 2.515 | 24 |
| 36.2 | 2.481 | 100 |
| 37.0 | 2.429 | 19 |
| 51.9 | 1.761 | 27 |
| 52.4 | 1.747 | 45 |
| 59.8 | 1.546 | 16 |
| 64.6 | 1.443 | 16 |
| 66.2 | 1.412 | 38 |
| 76.9 | 1.240 | 16 |

Crystal structure
```
Mg3AlFeSi3O12
1.0
4.8583 0.0000 0.0000
0.0000 5.0294 0.0000
-0.0049 0.0000 14.0900
Mg Al Fe Si O
6 2 2 6 24
Direct
0.2367 0.0000 0.0005
0.2593 0.1157 0.2435
0.2628 0.1179 0.7566
0.7372 0.6179 0.2434
0.7407 0.6157 0.7565
0.7633 0.5000 0.9995
0.2573 0.5697 0.6295
0.7427 0.0697 0.3705
0.2293 0.0051 0.5002
0.7707 0.5051 0.4998
0.2482 0.5568 0.8762
0.2490 0.5570 0.1233
0.2596 0.5717 0.3714
0.7404 0.0717 0.6286
0.7510 0.0570 0.8767
0.7518 0.0568 0.1238
0.0460 0.2615 0.5939
0.0530 0.2563 0.9038
0.0538 0.2597 0.0970
0.0647 0.2781 0.4068
0.1435 0.5216 0.2488
0.1469 0.5215 0.7562
0.3532 0.5914 0.9994
0.3711 0.6151 0.4969
0.4211 0.8765 0.3466
0.4403 0.8914 0.6523
0.4459 0.8521 0.1497
0.4501 0.8537 0.8496
0.5499 0.3537 0.1504
0.5541 0.3521 0.8503
0.5597 0.3914 0.3477
0.5789 0.3765 0.6534
0.6289 0.1151 0.5031
0.6468 0.0914 0.0006
0.8531 0.0215 0.2438
0.8565 0.0216 0.7512
0.9353 0.7781 0.5932
0.9462 0.7597 0.9030
0.9470 0.7563 0.0962
0.9540 0.7615 0.4061
```

Repeat the first record exactly.
This entry pairs a crystal structure of CdFe2O4 with its theoretical PXRD pattern. Radiation: CuKα. Structure: a crystal structure in the Materials Project, relaxed with GGA+U.
Kinematic intensities with the Lorentz-polarization factor, no thermal factor.

Principal peaks in the range 2θ from 10° to 90°, by angle:
| 2θ (°) | d_spacing | I_rel |
| --- | --- | --- |
| 18.9 | 4.700 | 20 |
| 30.6 | 2.922 | 19 |
| 32.1 | 2.790 | 14 |
| 33.0 | 2.712 | 100 |
| 35.2 | 2.549 | 32 |
| 39.9 | 2.258 | 41 |
| 42.3 | 2.135 | 16 |
| 48.8 | 1.866 | 17 |
| 49.0 | 1.857 | 19 |
| 49.9 | 1.829 | 17 |

Crystal structure
```
CdFe2O4
1.0
9.3779 0.0000 0.0000
0.0000 3.0340 0.0000
0.0000 0.0000 10.8674
Cd Fe O
4 8 16
Direct
0.2428 0.2500 0.1564
0.2572 0.7500 0.6564
0.7428 0.2500 0.3436
0.7572 0.7500 0.8436
0.0627 0.2500 0.3864
0.0842 0.2500 0.8964
0.4158 0.7500 0.3964
0.4373 0.7500 0.8864
0.5627 0.2500 0.1136
0.5842 0.2500 0.6036
0.9158 0.7500 0.1036
0.9373 0.7500 0.6136
0.0313 0.7500 0.7843
0.0821 0.2500 0.5710
0.1167 0.7500 0.0257
0.2027 0.7500 0.3386
0.2973 0.2500 0.8386
0.3833 0.2500 0.5257
0.4179 0.7500 0.0710
0.4687 0.2500 0.2843
0.5313 0.7500 0.7157
0.5821 0.2500 0.9290
0.6167 0.7500 0.4743
0.7027 0.7500 0.1614
0.7973 0.2500 0.6614
0.8833 0.2500 0.9743
0.9179 0.7500 0.4290
0.9687 0.2500 0.2157
```